[1]
# PmPr2Ga2Ag2
Theoretical X-ray diffraction stick pattern, Cu Kα (weighted mean of Kα1 and Kα2). Input: a structure optimized by DFT (PBE).

Top 6 peaks for 5° ≤ 2θ ≤ 70°, low angle first:
2θ 31.50, rel. 55.8; 2θ 33.94, rel. 96.0; 2θ 38.43, rel. 100.0; 2θ 52.20, rel. 27.9; 2θ 64.02, rel. 33.0; 2θ 66.66, rel. 26.3

Structural model:
a b c (Å): 9.664 9.664 9.664
angles (deg): 28.05 28.05 28.05
Atoms (fractional coordinates):
1 Pm 0.000 0.000 0.000
2 Pr 0.126 0.126 0.126
3 Pr 0.874 0.874 0.874
4 Ga 0.263 0.263 0.263
5 Ga 0.737 0.737 0.737
6 Ag 0.396 0.396 0.396
7 Ag 0.604 0.604 0.604

[2]
# CePmEr3
Theoretical X-ray diffraction stick pattern, Cu Kα (weighted mean of Kα1 and Kα2). Input: a structure optimized by DFT (PBE).

Top 6 peaks for 5° ≤ 2θ ≤ 70°, low angle first:
2θ 30.72, rel. 52.6; 2θ 30.92, rel. 61.5; 2θ 31.71, rel. 100.0; 2θ 33.27, rel. 47.8; 2θ 34.43, rel. 36.1; 2θ 40.70, rel. 23.4

Structural model:
a b c (Å): 6.232 6.232 9.128
angles (deg): 104.12 104.12 66.58
Atoms (fractional coordinates):
1 Ce 0.112 0.112 0.114
2 Ce 0.888 0.888 0.886
3 Pm 0.330 0.330 0.923
4 Pm 0.670 0.670 0.077
5 Er 0.203 0.690 0.301
6 Er 0.252 0.252 0.516
7 Er 0.310 0.797 0.699
8 Er 0.690 0.203 0.301
9 Er 0.748 0.748 0.484
10 Er 0.797 0.310 0.699

[3]
# BaFeRh2
Theoretical X-ray diffraction stick pattern, Cu Kα (weighted mean of Kα1 and Kα2). Input: a structure optimized by DFT (PBE).

Top 6 peaks for 5° ≤ 2θ ≤ 70°, low angle first:
2θ 24.32, rel. 56.3; 2θ 31.68, rel. 42.7; 2θ 31.88, rel. 62.3; 2θ 35.72, rel. 74.5; 2θ 41.74, rel. 100.0; 2θ 53.34, rel. 56.6

Structural model:
a b c (Å): 4.328 4.328 16.945
angles (deg): 90.00 90.00 120.00
Atoms (fractional coordinates):
1 Ba 0.000 0.000 0.000
2 Ba 0.333 0.667 0.667
3 Ba 0.667 0.333 0.333
4 Fe 0.000 0.000 0.500
5 Fe 0.333 0.667 0.167
6 Fe 0.667 0.333 0.833
7 Rh 0.000 0.000 0.193
8 Rh 0.000 0.000 0.807
9 Rh 0.333 0.667 0.474
10 Rh 0.333 0.667 0.859
11 Rh 0.667 0.333 0.141
12 Rh 0.667 0.333 0.526

[4]
# Cd3BiAu
Theoretical X-ray diffraction stick pattern, Cu Kα (weighted mean of Kα1 and Kα2). Input: a structure optimized by DFT (PBE).

Top 6 peaks for 5° ≤ 2θ ≤ 70°, low angle first:
2θ 25.15, rel. 69.2; 2θ 28.68, rel. 42.0; 2θ 36.62, rel. 61.9; 2θ 37.12, rel. 46.9; 2θ 37.23, rel. 67.4; 2θ 37.71, rel. 100.0

Structural model:
a b c (Å): 4.871 5.883 8.913
angles (deg): 90.00 95.99 90.00
Atoms (fractional coordinates):
1 Cd 0.138 0.250 0.459
2 Cd 0.226 0.001 0.876
3 Cd 0.226 0.499 0.876
4 Cd 0.774 0.501 0.124
5 Cd 0.774 0.999 0.124
6 Cd 0.862 0.750 0.541
7 Bi 0.316 0.750 0.326
8 Bi 0.684 0.250 0.674
9 Au 0.281 0.250 0.159
10 Au 0.719 0.750 0.841

[5]
# Na8B11C5
Theoretical X-ray diffraction stick pattern, Cu Kα (weighted mean of Kα1 and Kα2). Input: a structure optimized by DFT (PBE).

Top 6 peaks for 5° ≤ 2θ ≤ 70°, low angle first:
2θ 34.96, rel. 13.1; 2θ 36.39, rel. 18.9; 2θ 40.97, rel. 56.0; 2θ 42.18, rel. 100.0; 2θ 42.25, rel. 56.5; 2θ 63.63, rel. 19.4

Structural model:
a b c (Å): 9.990 2.816 10.006
angles (deg): 90.00 118.21 90.00
Atoms (fractional coordinates):
1 Na 0.000 0.000 0.000
2 Na 0.001 0.500 0.498
3 Na 0.247 0.000 0.747
4 Na 0.248 0.500 0.249
5 Na 0.496 0.500 0.000
6 Na 0.497 0.000 0.499
7 Na 0.749 0.500 0.746
8 Na 0.753 0.000 0.250
9 B 0.025 0.500 0.773
10 B 0.195 0.500 0.944
11 B 0.211 0.000 0.462
12 B 0.296 0.000 0.046
13 B 0.450 0.500 0.700
14 B 0.458 0.000 0.210
15 B 0.562 0.500 0.313
16 B 0.685 0.000 0.933
17 B 0.792 0.000 0.541
18 B 0.799 0.500 0.048
19 B 0.971 0.500 0.222
20 C 0.050 0.000 0.302
21 C 0.291 0.500 0.542
22 C 0.533 0.000 0.780
23 C 0.714 0.500 0.464
24 C 0.949 0.000 0.697

[6]
# K5Rb12Pt2
Theoretical X-ray diffraction stick pattern, Cu Kα (weighted mean of Kα1 and Kα2). Input: a structure optimized by DFT (PBE).

Top 6 peaks for 5° ≤ 2θ ≤ 70°, low angle first:
2θ 6.93, rel. 100.0; 2θ 9.59, rel. 26.0; 2θ 10.02, rel. 37.0; 2θ 22.68, rel. 15.0; 2θ 23.49, rel. 16.2; 2θ 25.03, rel. 26.0

Structural model:
a b c (Å): 8.338 12.716 12.828
angles (deg): 92.50 92.01 90.35
Atoms (fractional coordinates):
1 K 0.000 0.000 0.000
2 K 0.210 0.401 0.540
3 K 0.303 0.757 0.443
4 K 0.697 0.243 0.557
5 K 0.790 0.599 0.460
6 Rb 0.008 0.372 0.899
7 Rb 0.159 0.686 0.793
8 Rb 0.175 0.063 0.652
9 Rb 0.333 0.094 0.284
10 Rb 0.395 0.461 0.218
11 Rb 0.484 0.259 0.936
12 Rb 0.516 0.741 0.064
13 Rb 0.605 0.539 0.782
14 Rb 0.667 0.906 0.716
15 Rb 0.825 0.937 0.348
16 Rb 0.841 0.314 0.207
17 Rb 0.992 0.628 0.101
18 Pt 0.346 0.521 0.971
19 Pt 0.654 0.479 0.029